Structure and simulated XRD peak list of FeSO8 (the GGA+U geometry in the Materials Project; Cu Ka).

Structural model:
Unit cell a=6.639 b=13.645 c=11.773 alpha=90.00 beta=122.24 gamma=90.00
Space group P2_1/c (No. 14)
Asymmetric unit:
Fe 0.186 0.118 0.310 x4
S 0.230 0.609 0.627 x4
O 0.026 0.069 0.368 x4
O 0.074 0.205 0.199 x4
O 0.163 0.147 0.568 x4
O 0.167 0.546 0.701 x4
O 0.245 0.712 0.649 x4
O 0.256 0.093 0.665 x4
O 0.275 0.566 0.531 x4
O 0.473 0.112 0.403 x4

Top 10 peaks for 2θ = 10–90°, sorted by position:
14.85 deg, I = 52, (1 1 -1); 15.78 deg, I = 27, (1 0 0); 18.66 deg, I = 100, (1 2 -1); 18.97 deg, I = 30, (0 1 2); 22.89 deg, I = 28, (1 1 1); 25.56 deg, I = 19, (1 2 1); 26.12 deg, I = 24, (0 4 0); 26.24 deg, I = 51, (1 2 -3); 26.54 deg, I = 24, (0 3 2); 27.67 deg, I = 15, (2 1 -2)

***

Structure and simulated XRD peak list of Mg6FeBiO8 (the GGA+U geometry in the Materials Project; Cu Ka).

Structural model:
Unit cell a=4.531 b=4.531 c=8.892 alpha=90.00 beta=90.00 gamma=90.00
Space group P4/mmm (No. 123)
Asymmetric unit:
Mg 0.000 0.000 0.000 x1
Mg 0.000 0.500 0.234 x4
Mg 0.500 0.500 0.000 x1
Fe 0.000 0.000 0.500 x1
Bi 0.500 0.500 0.500 x1
O 0.000 0.000 0.244 x2
O 0.000 0.500 0.000 x2
O 0.000 0.500 0.500 x2
O 0.500 0.500 0.225 x2

Top 10 peaks for 2θ = 10–90°, sorted by position:
19.59 deg, I = 41, (1 0 0); 19.97 deg, I = 45, (0 0 2); 22.02 deg, I = 59, (1 0 1); 27.84 deg, I = 39, (1 1 0); 28.12 deg, I = 36, (1 0 2); 29.64 deg, I = 69, (1 1 1); 34.50 deg, I = 81, (1 1 2); 39.79 deg, I = 100, (2 0 0); 40.58 deg, I = 45, (0 0 4); 58.13 deg, I = 57, (2 0 4)

***

Structure and simulated XRD peak list of K4Na4Mo7WO24 (the GGA+U geometry in the Materials Project; Cu Ka).

Structural model:
Unit cell a=7.987 b=7.987 c=8.012 alpha=90.00 beta=90.00 gamma=90.00
Space group P4mm (No. 99)
Asymmetric unit:
K 0.249 0.249 0.000 x4
Na 0.248 0.248 0.499 x4
Mo 0.000 0.000 0.251 x1
Mo 0.000 0.500 0.252 x2
Mo 0.000 0.500 0.747 x2
Mo 0.500 0.500 0.251 x1
Mo 0.500 0.500 0.747 x1
W 0.000 0.000 0.746 x1
O 0.000 0.000 0.507 x1
O 0.000 0.000 0.987 x1
O 0.000 0.244 0.744 x4
O 0.000 0.254 0.254 x4
O 0.000 0.500 0.008 x2
O 0.000 0.500 0.493 x2
O 0.238 0.500 0.744 x4
O 0.243 0.500 0.254 x4
O 0.500 0.500 0.012 x1
O 0.500 0.500 0.489 x1

Top 10 peaks for 2θ = 10–90°, sorted by position:
22.24 deg, I = 69, (2 0 0); 31.65 deg, I = 100, (2 2 0); 45.27 deg, I = 13, (0 0 4); 45.42 deg, I = 27, (4 0 0); 51.01 deg, I = 9, (2 0 4); 51.13 deg, I = 18, (4 2 0); 56.38 deg, I = 38, (4 2 2); 66.07 deg, I = 15, (4 0 4); 70.70 deg, I = 10, (4 4 2); 75.23 deg, I = 11, (6 2 0)